[1]
# Ac2Pd9Pb4
Computed XRD peak list, Cu Kα (weighted mean of Kα1 and Kα2). Input: a DFT-relaxed cell (GGA-PBE, Alexandria).
Neutral-atom scattering factors, no anomalous dispersion.

Structure:
Unit cell a=4.7426 b=4.7426 c=17.0368 alpha=90.00 beta=90.00 gamma=120.00
Space group P-3m1 (No. 164)
Unique sites:
Ac 0.3333 0.6667 0.2518 [2 per cell]
Pd 0.0000 0.0000 0.0000 [1 per cell]
Pd 0.0000 0.0000 0.1645 [2 per cell]
Pd 0.0000 0.0000 0.3483 [2 per cell]
Pd 0.3333 0.6667 0.0595 [2 per cell]
Pd 0.3333 0.6667 0.4364 [2 per cell]
Pb 0.3333 0.6667 0.5993 [2 per cell]
Pb 0.3333 0.6667 0.8954 [2 per cell]

Largest 10 diffraction maxima, in order of rising 2θ, 10° ≤ 2θ ≤ 90°:
| Position (°2θ) | I_rel |
| --- | --- |
| 26.79 | 48.9 |
| 34.19 | 33.7 |
| 37.94 | 100.0 |
| 38.55 | 53.9 |
| 50.12 | 13.4 |
| 55.20 | 19.0 |
| 64.28 | 13.4 |
| 68.54 | 17.8 |
| 68.94 | 19.5 |
| 89.36 | 11.6 |

---

[2]
# Ac4PdPb2
Computed XRD peak list, Cu Kα (weighted mean of Kα1 and Kα2). Input: a DFT-relaxed cell (GGA-PBE, Alexandria).
Neutral-atom scattering factors, no anomalous dispersion.

Structure:
Unit cell a=12.7545 b=4.9480 c=9.5896 alpha=90.00 beta=121.71 gamma=90.00
Space group C2/m (No. 12)
Unique sites:
Ac 0.0775 0.0000 0.3562 [4 per cell]
Ac 0.1731 0.5000 0.0676 [4 per cell]
Pd 0.0000 0.0000 0.0000 [2 per cell]
Pb 0.1389 0.5000 0.6557 [4 per cell]

Largest 10 diffraction maxima, in order of rising 2θ, 10° ≤ 2θ ≤ 90°:
| Position (°2θ) | I_rel |
| --- | --- |
| 24.58 | 33.5 |
| 26.08 | 100.0 |
| 27.74 | 89.3 |
| 30.62 | 94.2 |
| 32.68 | 51.8 |
| 32.96 | 61.9 |
| 34.22 | 64.0 |
| 36.31 | 65.6 |
| 45.26 | 45.6 |
| 49.85 | 39.8 |

---

[3]
# AcPd4Pb3
Computed XRD peak list, Cu Kα (weighted mean of Kα1 and Kα2). Input: a DFT-relaxed cell (GGA-PBE, Alexandria).
Neutral-atom scattering factors, no anomalous dispersion.

Structure:
Unit cell a=4.7945 b=4.7945 c=27.6336 alpha=90.00 beta=90.00 gamma=120.00
Space group R-3m (No. 166, hexagonal axes)
Unique sites:
Ac 0.0000 0.0000 0.0000 [3 per cell]
Pd 0.0000 0.0000 0.1375 [6 per cell]
Pd 0.0000 0.0000 0.3957 [6 per cell]
Pb 0.0000 0.0000 0.2473 [6 per cell]
Pb 0.0000 0.0000 0.5000 [3 per cell]

Largest 10 diffraction maxima, in order of rising 2θ, 10° ≤ 2θ ≤ 90°:
| Position (°2θ) | I_rel |
| --- | --- |
| 25.02 | 31.6 |
| 33.75 | 100.0 |
| 37.52 | 97.3 |
| 51.35 | 31.0 |
| 55.32 | 20.0 |
| 57.82 | 10.9 |
| 65.31 | 30.3 |
| 67.70 | 17.5 |
| 80.06 | 11.1 |
| 89.77 | 13.8 |

---

[4]
# AcPd6Pb6
Computed XRD peak list, Cu Kα (weighted mean of Kα1 and Kα2). Input: a DFT-relaxed cell (GGA-PBE, Alexandria).
Neutral-atom scattering factors, no anomalous dispersion.

Structure:
Unit cell a=5.9186 b=9.5002 c=10.3017 alpha=90.00 beta=90.00 gamma=90.00
Space group Immm (No. 71)
Unique sites:
Ac 0.0000 0.0000 0.0000 [2 per cell]
Pd 0.0000 0.2656 0.5000 [4 per cell]
Pd 0.2500 0.2500 0.2500 [8 per cell]
Pb 0.0000 0.0000 0.3442 [4 per cell]
Pb 0.0000 0.3414 0.0000 [4 per cell]
Pb 0.0000 0.5000 0.3207 [4 per cell]

Largest 10 diffraction maxima, in order of rising 2θ, 10° ≤ 2θ ≤ 90°:
| Position (°2θ) | I_rel |
| --- | --- |
| 30.09 | 65.8 |
| 30.20 | 33.7 |
| 34.97 | 22.9 |
| 35.68 | 100.0 |
| 36.61 | 33.9 |
| 37.88 | 24.1 |
| 39.93 | 42.9 |
| 41.90 | 25.1 |
| 62.54 | 23.4 |
| 67.00 | 38.7 |